No. 1
For BaF, the PBE geometry in Alexandria gives the calculated XRD peak list in this record (Cu Kα (weighted mean of Kα1 and Kα2)).
Kinematic intensities with the Lorentz-polarization factor, no thermal factor.

Peak list (12 most intense, 2θ from 10° to 90°, sorted by position)
hkl 1 0 1, 2θ = 15.20°, I 18
hkl 1 1 2, 2θ = 24.81°, I 100
hkl 2 0 0, 2θ = 25.23°, I 58
hkl 2 2 0, 2θ = 35.97°, I 26
hkl 2 1 3, 2θ = 38.71°, I 14
hkl 2 0 4, 2θ = 43.44°, I 13
hkl 3 1 2, 2θ = 44.20°, I 56
hkl 1 0 5, 2θ = 45.80°, I 10
hkl 2 1 5, 2θ = 53.00°, I 11
hkl 4 2 0, 2θ = 58.45°, I 13
hkl 5 1 2, 2θ = 70.43°, I 19
hkl 5 3 2, 2θ = 81.71°, I 12

Structural model:
Cell: 7.0610 7.0610 10.3194 Å, 90.00 90.00 90.00°
Space group I4_122 (No. 98)
Asymmetric unit:
Ba  0.0000  0.0000  0.2190 (multiplicity 8)
F  0.1484  0.6484  0.2500 (multiplicity 8)

No. 2
For TeP2PbS, the PBE geometry in Alexandria gives the calculated XRD peak list in this record (Cu Kα (weighted mean of Kα1 and Kα2)).
Kinematic intensities with the Lorentz-polarization factor, no thermal factor.

Peak list (12 most intense, 2θ from 10° to 90°, sorted by position)
hkl 1 0 1, 2θ = 23.21°, I 100
hkl 1 1 0, 2θ = 23.35°, I 51
hkl 1 1 1, 2θ = 28.58°, I 22
hkl 0 0 2, 2θ = 32.84°, I 22
hkl 2 0 0, 2θ = 33.27°, I 42
hkl 1 1 2, 2θ = 40.69°, I 25
hkl 2 1 1, 2θ = 40.96°, I 47
hkl 2 0 2, 2θ = 47.44°, I 31
hkl 2 2 0, 2θ = 47.76°, I 15
hkl 3 1 0, 2θ = 53.78°, I 22
hkl 2 2 2, 2θ = 59.17°, I 16
hkl 3 1 2, 2θ = 64.50°, I 13

Structural model:
Cell: 5.3866 5.3866 5.4542 Å, 90.00 90.00 90.00°
Space group P4/mmm (No. 123)
Asymmetric unit:
Te  0.0000  0.0000  0.0000 (multiplicity 1)
P  0.0000  0.5000  0.0000 (multiplicity 2)
Pb  0.5000  0.5000  0.5000 (multiplicity 1)
S  0.0000  0.0000  0.5000 (multiplicity 1)

No. 3
For Cs3AgHg2, the PBE geometry in Alexandria gives the calculated XRD peak list in this record (Cu Kα (weighted mean of Kα1 and Kα2)).
Kinematic intensities with the Lorentz-polarization factor, no thermal factor.

Peak list (12 most intense, 2θ from 10° to 90°, sorted by position)
hkl 1 0 2, 2θ = 12.99°, I 51
hkl 2 1 2, 2θ = 23.79°, I 39
hkl 4 0 1, 2θ = 24.19°, I 58
hkl 0 1 3, 2θ = 24.44°, I 100
hkl 1 1 3, 2θ = 25.15°, I 57
hkl 3 1 1, 2θ = 25.26°, I 78
hkl 2 0 4, 2θ = 26.08°, I 37
hkl 3 1 2, 2θ = 27.23°, I 70
hkl 2 0 5, 2θ = 31.48°, I 100
hkl 3 0 5, 2θ = 34.23°, I 42
hkl 0 2 0, 2θ = 34.49°, I 80
hkl 5 1 3, 2θ = 38.64°, I 46

Structural model:
Cell: 15.1587 5.1995 15.3114 Å, 90.00 90.00 90.00°
Space group Pnma (No. 62)
Asymmetric unit:
Cs  0.0612  0.2500  0.1260 (multiplicity 4)
Cs  0.1142  0.7500  0.5592 (multiplicity 4)
Cs  0.2026  0.2500  0.7955 (multiplicity 4)
Ag  0.1330  0.2500  0.3711 (multiplicity 4)
Hg  0.0436  0.7500  0.3202 (multiplicity 4)
Hg  0.2049  0.7500  0.9842 (multiplicity 4)

> Number 3 is which compound?

Cs3AgHg2